Diffraction record for CrN2. The X-ray diffraction stick pattern is computed, not measured: it uses a cell relaxed with PBE and copper Kα.

Main lines, by angle (2θ from 10° to 90°):
- 2θ 19.57, intensity 100
- 2θ 25.35, intensity 4
- 2θ 27.81, intensity 3
- 2θ 32.22, intensity 39
- 2θ 37.98, intensity 11
- 2θ 39.74, intensity 3
- 2θ 50.64, intensity 14
- 2θ 57.46, intensity 11
- 2θ 61.31, intensity 4
- 2θ 67.43, intensity 5
- 2θ 70.97, intensity 7
- 2θ 76.71, intensity 3

Structural model:
a = 7.8570 Å, b = 7.8570 Å, c = 7.8570 Å
α = 90.00°, β = 90.00°, γ = 90.00°
Positions (direct):
1 Cr 0.0165 0.0165 0.0165
2 Cr 0.2302 0.7302 0.7698
3 Cr 0.2698 0.2698 0.2698
4 Cr 0.4835 0.9835 0.5165
5 Cr 0.5165 0.4835 0.9835
6 Cr 0.7302 0.7698 0.2302
7 Cr 0.7698 0.2302 0.7302
8 Cr 0.9835 0.5165 0.4835
9 N 0.0770 0.6372 0.6405
10 N 0.1372 0.8595 0.9230
11 N 0.1405 0.4230 0.3628
12 N 0.1448 0.1448 0.1448
13 N 0.3552 0.8552 0.6448
14 N 0.3595 0.5770 0.8628
15 N 0.3628 0.1405 0.4230
16 N 0.4230 0.3628 0.1405
17 N 0.5770 0.8628 0.3595
18 N 0.6372 0.6405 0.0770
19 N 0.6405 0.0770 0.6372
20 N 0.6448 0.3552 0.8552
21 N 0.8552 0.6448 0.3552
22 N 0.8595 0.9230 0.1372
23 N 0.8628 0.3595 0.5770
24 N 0.9230 0.1372 0.8595

Diffraction record for PrB4Os4. The X-ray diffraction stick pattern is computed, not measured: it uses a cell relaxed with PBE and copper Kα.

Main lines, by angle (2θ from 10° to 90°):
- 2θ 16.43, intensity 35
- 2θ 27.72, intensity 21
- 2θ 34.52, intensity 100
- 2θ 37.27, intensity 60
- 2θ 40.30, intensity 32
- 2θ 43.79, intensity 18
- 2θ 46.86, intensity 29
- 2θ 47.67, intensity 13
- 2θ 48.65, intensity 26
- 2θ 58.64, intensity 15
- 2θ 69.08, intensity 18
- 2θ 78.83, intensity 15

Structural model:
a = 7.6302 Å, b = 7.6302 Å, c = 4.0093 Å
α = 90.00°, β = 90.00°, γ = 90.00°
Positions (direct):
1 Pr 0.2500 0.2500 0.2500
2 Pr 0.7500 0.7500 0.7500
3 B 0.0330 0.5847 0.1392
4 B 0.0847 0.9670 0.6392
5 B 0.4153 0.5330 0.6392
6 B 0.4670 0.9153 0.1392
7 B 0.5330 0.0847 0.8608
8 B 0.5847 0.4670 0.3608
9 B 0.9153 0.0330 0.3608
10 B 0.9670 0.4153 0.8608
11 Os 0.1041 0.8563 0.1385
12 Os 0.1437 0.6041 0.6385
13 Os 0.3563 0.8959 0.6385
14 Os 0.3959 0.6437 0.1385
15 Os 0.6041 0.3563 0.8615
16 Os 0.6437 0.1041 0.3615
17 Os 0.8563 0.3959 0.3615
18 Os 0.8959 0.1437 0.8615

Diffraction record for Er5Tl3. The X-ray diffraction stick pattern is computed, not measured: it uses a cell relaxed with PBE and copper Kα.

Main lines, by angle (2θ from 10° to 90°):
- 2θ 29.54, intensity 11
- 2θ 31.27, intensity 100
- 2θ 31.67, intensity 10
- 2θ 33.62, intensity 19
- 2θ 35.53, intensity 51
- 2θ 37.69, intensity 11
- 2θ 50.85, intensity 10
- 2θ 52.76, intensity 9
- 2θ 62.86, intensity 8
- 2θ 63.72, intensity 10
- 2θ 64.06, intensity 9
- 2θ 65.93, intensity 16

Structural model:
a = 9.1204 Å, b = 9.1204 Å, c = 9.1204 Å
α = 128.04°, β = 128.04°, γ = 76.55°
Positions (direct):
1 Er 0.0000 0.0000 0.0000
2 Er 0.0082 0.5082 0.8197
3 Er 0.1885 0.0082 0.5000
4 Er 0.3115 0.8115 0.8197
5 Er 0.4918 0.3115 0.5000
6 Er 0.5000 0.5000 0.0000
7 Er 0.5082 0.6885 0.5000
8 Er 0.6885 0.1885 0.1803
9 Er 0.8115 0.9918 0.5000
10 Er 0.9918 0.4918 0.1803
11 Tl 0.1362 0.3638 0.5000
12 Tl 0.2500 0.2500 0.0000
13 Tl 0.3638 0.8638 0.2277
14 Tl 0.6362 0.1362 0.7723
15 Tl 0.7500 0.7500 0.0000
16 Tl 0.8638 0.6362 0.5000